# 1
GaF3: calculated X-ray powder pattern (a wavelength of 1.5418 Å), based on a crystal structure in Alexandria, relaxed with PBE.

Largest 6 diffraction maxima, in order of falling intensity, 15 to 90 degrees two-theta:
24.27 deg, 3.668 Å, intensity 100
55.06 deg, 1.668 Å, intensity 26
33.84 deg, 2.649 Å, intensity 23
49.71 deg, 1.834 Å, intensity 19
57.06 deg, 1.614 Å, intensity 14
40.95 deg, 2.204 Å, intensity 13

Structure:
a b c (Å): 5.3066 5.3066 5.3066
angles (deg): 57.24 57.24 57.24
Fractional coordinates of all 8 atoms:
Ga: 0.0000 0.0000 0.0000
Ga: 0.5000 0.5000 0.5000
F: 0.1412 0.7500 0.3588
F: 0.2500 0.6412 0.8588
F: 0.3588 0.1412 0.7500
F: 0.6412 0.8588 0.2500
F: 0.7500 0.3588 0.1412
F: 0.8588 0.2500 0.6412

=====

# 2
Ga2F3: calculated X-ray powder pattern (a wavelength of 1.5418 Å), based on a crystal structure in Alexandria, relaxed with PBE.

Largest 6 diffraction maxima, in order of falling intensity, 15 to 90 degrees two-theta:
27.18 deg, 3.280 Å, intensity 100
31.47 deg, 2.843 Å, intensity 73
22.19 deg, 4.006 Å, intensity 59
38.95 deg, 2.313 Å, intensity 48
24.83 deg, 3.585 Å, intensity 29
56.02 deg, 1.642 Å, intensity 28

Structure:
a b c (Å): 8.4346 4.6732 9.0174
angles (deg): 67.68 30.83 81.49
Fractional coordinates of all 10 atoms:
Ga: 0.2500 0.7500 0.3967
Ga: 0.6467 0.8533 0.5000
Ga: 0.7500 0.2500 0.6033
Ga: 0.8533 0.6467 0.0000
F: 0.1387 0.1387 0.3613
F: 0.2170 0.5377 0.8333
F: 0.4167 0.8380 0.0330
F: 0.5377 0.2170 0.4120
F: 0.8380 0.4167 0.7123
F: 0.8887 0.8887 0.1113

=====

# 3
Ga2HF: calculated X-ray powder pattern (a wavelength of 1.5418 Å), based on a crystal structure in Alexandria, relaxed with PBE.

Largest 6 diffraction maxima, in order of falling intensity, 15 to 90 degrees two-theta:
30.37 deg, 2.943 Å, intensity 100
51.45 deg, 1.776 Å, intensity 25
34.12 deg, 2.628 Å, intensity 22
58.76 deg, 1.571 Å, intensity 18
39.46 deg, 2.284 Å, intensity 17
49.02 deg, 1.858 Å, intensity 12

Structure:
a b c (Å): 6.0867 6.0867 6.0867
angles (deg): 128.84 128.84 75.27
Fractional coordinates of all 8 atoms:
Ga: 0.0715 0.6250 0.9465
Ga: 0.3750 0.3215 0.4465
Ga: 0.6785 0.1250 0.0535
Ga: 0.8750 0.9285 0.5535
H: 0.0000 0.0000 0.0000
H: 0.7500 0.2500 0.5000
F: 0.2500 0.7500 0.5000
F: 0.5000 0.5000 0.0000

=====

# 4
GaHF3: calculated X-ray powder pattern (a wavelength of 1.5418 Å), based on a crystal structure in Alexandria, relaxed with PBE.

Largest 6 diffraction maxima, in order of falling intensity, 15 to 90 degrees two-theta:
45.46 deg, 1.995 Å, intensity 100
31.06 deg, 2.879 Å, intensity 83
25.00 deg, 3.562 Å, intensity 78
27.06 deg, 3.295 Å, intensity 60
21.90 deg, 4.058 Å, intensity 53
28.64 deg, 3.117 Å, intensity 49

Structure:
a b c (Å): 6.7503 6.7503 7.5725
angles (deg): 109.45 109.45 22.00
Fractional coordinates of all 10 atoms:
Ga: 0.0819 0.0819 0.4604
Ga: 0.9181 0.9181 0.5396
H: 0.3594 0.3594 0.0369
H: 0.6406 0.6406 0.9631
F: 0.1392 0.1392 0.9530
F: 0.3149 0.3149 0.3908
F: 0.4237 0.4237 0.7318
F: 0.5763 0.5763 0.2682
F: 0.6851 0.6851 0.6092
F: 0.8608 0.8608 0.0470

=====

# 5
GaHF2: calculated X-ray powder pattern (a wavelength of 1.5418 Å), based on a crystal structure in Alexandria, relaxed with PBE.

Largest 6 diffraction maxima, in order of falling intensity, 15 to 90 degrees two-theta:
28.14 deg, 3.171 Å, intensity 100
19.29 deg, 4.601 Å, intensity 62
41.90 deg, 2.156 Å, intensity 40
44.74 deg, 2.025 Å, intensity 35
57.19 deg, 1.611 Å, intensity 30
31.07 deg, 2.878 Å, intensity 19

Structure:
a b c (Å): 5.1300 5.1300 6.0611
angles (deg): 107.16 107.16 38.44
Fractional coordinates of all 8 atoms:
Ga: 0.0013 0.9987 0.7500
Ga: 0.9987 0.0013 0.2500
H: 0.4992 0.5008 0.2500
H: 0.5008 0.4992 0.7500
F: 0.1369 0.1369 0.0684
F: 0.1369 0.1369 0.5684
F: 0.8631 0.8631 0.4316
F: 0.8631 0.8631 0.9316

=====

# 6
GaH4NF4: calculated X-ray powder pattern (a wavelength of 1.5418 Å), based on a crystal structure in Alexandria, relaxed with PBE.

Largest 6 diffraction maxima, in order of falling intensity, 15 to 90 degrees two-theta:
23.49 deg, 3.788 Å, intensity 100
27.27 deg, 3.271 Å, intensity 99
33.46 deg, 2.678 Å, intensity 50
27.51 deg, 3.242 Å, intensity 38
48.49 deg, 1.877 Å, intensity 37
48.04 deg, 1.894 Å, intensity 35

Structure:
a b c (Å): 7.5095 7.5095 7.5095
angles (deg): 138.21 138.21 60.58
Fractional coordinates of all 20 atoms:
Ga: 0.0000 0.0000 0.0000
Ga: 0.5000 0.5000 0.0000
H: 0.0933 0.5933 0.2800
H: 0.1867 0.9067 0.5000
H: 0.3133 0.8133 0.7200
H: 0.4067 0.6867 0.5000
H: 0.5933 0.3133 0.5000
H: 0.6867 0.1867 0.2800
H: 0.8133 0.0933 0.5000
H: 0.9067 0.4067 0.7200
N: 0.2500 0.7500 0.5000
N: 0.7500 0.2500 0.5000
F: 0.1437 0.1437 0.0000
F: 0.1875 0.6875 0.8750
F: 0.3125 0.1875 0.5000
F: 0.3563 0.3563 0.0000
F: 0.6437 0.6437 0.0000
F: 0.6875 0.8125 0.5000
F: 0.8125 0.3125 0.1250
F: 0.8563 0.8563 0.0000